Diffraction record for MgTi3O6. The X-ray powder pattern is theoretical, not measured: it uses a PBE-relaxed structure and a wavelength of 1.5418 Å.

Structure:
a b c (Å): 7.581 7.581 5.003
angles (deg): 92.02 92.02 23.76
Fractional positions:
Mg (0.000, 0.000, 0.000)
Ti (0.144, 0.510, 0.898)
Ti (0.490, 0.856, 0.102)
Ti (0.541, 0.459, 0.500)
O (0.041, 0.437, 0.209)
O (0.138, 0.013, 0.335)
O (0.431, 0.414, 0.152)
O (0.563, 0.959, 0.791)
O (0.586, 0.569, 0.848)
O (0.987, 0.862, 0.665)

Most intense lines, 2θ from 10° to 90°, low angle first:
d [Å]	2theta	I (rel.)
4.999	17.74	46
4.078	21.80	100
3.030	29.48	30
2.639	33.97	32
2.353	38.26	57
2.316	38.89	29
2.039	44.44	31
1.994	45.49	30
1.957	46.41	21
1.458	63.85	26



Diffraction record for MgTiO2. The X-ray powder pattern is theoretical, not measured: it uses a PBE-relaxed structure and a wavelength of 1.5418 Å.

Structure:
a b c (Å): 2.886 7.898 8.405
angles (deg): 86.82 80.37 79.49
Fractional positions:
Mg (0.094, 0.226, 0.075)
Mg (0.340, 0.559, 0.246)
Mg (0.660, 0.441, 0.754)
Mg (0.906, 0.774, 0.925)
Ti (0.150, 0.912, 0.280)
Ti (0.443, 0.204, 0.409)
Ti (0.557, 0.796, 0.591)
Ti (0.850, 0.088, 0.720)
O (0.077, 0.627, 0.732)
O (0.169, 0.720, 0.437)
O (0.208, 0.259, 0.840)
O (0.383, 0.919, 0.824)
O (0.617, 0.081, 0.176)
O (0.792, 0.741, 0.160)
O (0.831, 0.280, 0.563)
O (0.923, 0.373, 0.268)

Most intense lines, 2θ from 10° to 90°, low angle first:
d [Å]	2theta	I (rel.)
8.284	10.68	60
7.763	11.40	81
4.142	21.45	56
3.881	22.91	35
2.869	31.17	52
2.582	34.75	37
2.533	35.44	34
2.524	35.57	39
2.279	39.55	35
2.092	43.24	100



Diffraction record for MgTi4O8. The X-ray powder pattern is theoretical, not measured: it uses a PBE-relaxed structure and a wavelength of 1.5418 Å.

Structure:
a b c (Å): 10.036 5.018 5.018
angles (deg): 33.84 90.00 90.00
Fractional positions:
Mg (0.000, 0.000, 0.000)
Ti (0.181, 0.748, 0.748)
Ti (0.329, 0.490, 0.490)
Ti (0.671, 0.490, 0.490)
Ti (0.819, 0.748, 0.748)
O (0.000, 0.657, 0.657)
O (0.129, 0.388, 0.388)
O (0.244, 0.112, 0.112)
O (0.346, 0.851, 0.851)
O (0.500, 0.553, 0.553)
O (0.654, 0.851, 0.851)
O (0.756, 0.112, 0.112)
O (0.871, 0.388, 0.388)

Most intense lines, 2θ from 10° to 90°, low angle first:
d [Å]	2theta	I (rel.)
5.018	17.67	83
4.331	20.51	53
2.794	32.03	48
2.745	32.63	100
2.157	41.87	42
2.109	42.88	56
1.982	45.78	55
1.813	50.33	28
1.447	64.40	30
1.444	64.56	26



Diffraction record for MgTi4O8. The X-ray powder pattern is theoretical, not measured: it uses a PBE-relaxed structure and a wavelength of 1.5418 Å.

Structure:
a b c (Å): 6.427 6.427 6.614
angles (deg): 106.06 106.06 34.53
Fractional positions:
Mg (0.000, 0.000, 0.000)
Ti (0.299, 0.299, 0.712)
Ti (0.398, 0.398, 0.304)
Ti (0.602, 0.602, 0.696)
Ti (0.701, 0.701, 0.288)
O (0.135, 0.135, 0.739)
O (0.232, 0.232, 0.344)
O (0.391, 0.391, 0.990)
O (0.439, 0.439, 0.625)
O (0.561, 0.561, 0.375)
O (0.609, 0.609, 0.010)
O (0.768, 0.768, 0.656)
O (0.865, 0.865, 0.261)

Most intense lines, 2θ from 10° to 90°, low angle first:
d [Å]	2theta	I (rel.)
3.628	24.54	100
3.200	27.88	33
3.165	28.19	59
3.033	29.45	42
3.019	29.59	33
2.732	32.78	34
2.716	32.97	37
2.110	42.86	56
2.045	44.29	51
1.907	47.68	67



Diffraction record for MgTi3O6. The X-ray powder pattern is theoretical, not measured: it uses a PBE-relaxed structure and a wavelength of 1.5418 Å.

Structure:
a b c (Å): 7.851 7.851 5.477
angles (deg): 98.54 98.54 21.80
Fractional positions:
Mg (0.000, 0.000, 0.000)
Ti (0.104, 0.104, 0.622)
Ti (0.396, 0.396, 0.310)
Ti (0.773, 0.773, 0.751)
O (0.208, 0.208, 0.881)
O (0.328, 0.328, 0.566)
O (0.543, 0.543, 0.820)
O (0.656, 0.656, 0.481)
O (0.868, 0.868, 0.041)
O (0.991, 0.991, 0.367)

Most intense lines, 2θ from 10° to 90°, low angle first:
d [Å]	2theta	I (rel.)
5.414	16.37	46
4.767	18.61	100
4.129	21.52	50
2.915	30.67	67
2.564	35.00	27
2.388	37.66	60
2.055	44.07	18
1.765	51.78	35
1.515	61.18	18
1.470	63.24	24



Diffraction record for MgTi4O8. The X-ray powder pattern is theoretical, not measured: it uses a PBE-relaxed structure and a wavelength of 1.5418 Å.

Structure:
a b c (Å): 6.011 6.011 6.011
angles (deg): 60.00 60.00 60.00
Fractional positions:
Mg (0.000, 0.000, 0.000)
Ti (0.135, 0.622, 0.622)
Ti (0.622, 0.135, 0.622)
Ti (0.622, 0.622, 0.135)
Ti (0.622, 0.622, 0.622)
O (0.390, 0.390, 0.390)
O (0.390, 0.390, 0.830)
O (0.390, 0.830, 0.390)
O (0.409, 0.864, 0.864)
O (0.830, 0.390, 0.390)
O (0.864, 0.409, 0.864)
O (0.864, 0.864, 0.409)
O (0.864, 0.864, 0.864)

Most intense lines, 2θ from 10° to 90°, low angle first:
d [Å]	2theta	I (rel.)
4.908	18.08	100
4.250	20.90	8
2.563	35.01	67
2.125	42.54	64
1.950	46.57	8
1.636	56.23	31
1.503	61.73	47
1.437	64.90	13
1.227	77.86	9
1.107	88.31	10



Diffraction record for MgTi4O8. The X-ray powder pattern is theoretical, not measured: it uses a PBE-relaxed structure and a wavelength of 1.5418 Å.

Structure:
a b c (Å): 6.635 6.635 6.639
angles (deg): 106.58 106.58 34.01
Fractional positions:
Mg (0.000, 0.000, 0.000)
Ti (0.127, 0.127, 0.704)
Ti (0.224, 0.224, 0.306)
Ti (0.416, 0.416, 0.669)
Ti (0.527, 0.527, 0.322)
O (0.051, 0.051, 0.322)
O (0.164, 0.164, 0.991)
O (0.262, 0.262, 0.641)
O (0.379, 0.379, 0.345)
O (0.466, 0.466, 0.997)
O (0.584, 0.584, 0.651)
O (0.688, 0.688, 0.312)
O (0.950, 0.950, 0.686)

Most intense lines, 2θ from 10° to 90°, low angle first:
d [Å]	2theta	I (rel.)
6.336	13.98	53
6.056	14.63	76
3.696	24.08	100
3.168	28.17	31
3.118	28.63	42
3.073	29.06	32
2.115	42.76	54
2.112	42.82	64
1.940	46.82	55
1.429	65.30	29